No. 1
For AcPr2Nd6, a GGA-PBE-relaxed structure gives the theoretical powder X-ray diffraction pattern in this record (λ = 1.5418 Å (Cu Kα)).

Main lines, by angle (10° ≤ 2θ ≤ 80°):
2.963 Å, I 95.7
2.937 Å, I 100.0
2.087 Å, I 24.1
1.703 Å, I 12.6
1.700 Å, I 25.2
1.698 Å, I 13.3
1.549 Å, I 14.8
1.548 Å, I 14.8

Crystal structure
```
AcPr2Nd6
1.0
8.829 -5.078 0.000
8.829 5.078 0.000
-0.006 0.000 3.645
Ac Pr Nd
1 2 6
Direct
0.000 0.000 0.000 Ac
0.333 0.333 0.000 Pr
0.667 0.667 0.000 Pr
0.000 0.336 0.500 Nd
0.000 0.664 0.500 Nd
0.335 0.665 0.500 Nd
0.336 0.000 0.500 Nd
0.664 0.000 0.500 Nd
0.665 0.335 0.500 Nd
```


No. 2
For SrYInHg, a GGA-PBE-relaxed structure gives the theoretical powder X-ray diffraction pattern in this record (λ = 1.5418 Å (Cu Kα)).

Main lines, by angle (10° ≤ 2θ ≤ 80°):
7.978 Å, I 13.9
3.834 Å, I 9.2
2.764 Å, I 100.0
2.711 Å, I 51.4
1.917 Å, I 18.6
1.606 Å, I 15.1
1.575 Å, I 36.2
1.382 Å, I 9.1

Crystal structure
```
SrYInHg
1.0
3.834 0.000 0.000
0.000 3.834 0.000
0.000 0.000 7.978
Sr Y In Hg
1 1 1 1
Direct
0.000 0.000 0.000 Sr
0.000 0.000 0.513 Y
0.500 0.500 0.281 In
0.500 0.500 0.725 Hg
```


No. 3
For Ac2Mg5In3, a GGA-PBE-relaxed structure gives the theoretical powder X-ray diffraction pattern in this record (λ = 1.5418 Å (Cu Kα)).

Main lines, by angle (10° ≤ 2θ ≤ 80°):
6.159 Å, I 33.0
4.458 Å, I 33.6
3.394 Å, I 26.9
3.115 Å, I 100.0
2.973 Å, I 65.1
2.956 Å, I 63.9
2.391 Å, I 63.4
2.190 Å, I 58.1

Crystal structure
```
Ac2Mg5In3
1.0
-6.159 6.739 3.394
6.159 -6.739 3.394
6.159 6.739 -3.394
Ac Mg In
4 10 6
Direct
0.124 0.245 0.368 Ac
0.376 0.745 0.121 Ac
0.624 0.255 0.879 Ac
0.876 0.755 0.632 Ac
0.009 0.750 0.259 Mg
0.125 0.869 0.994 Mg
0.250 0.750 0.500 Mg
0.375 0.369 0.743 Mg
0.491 0.750 0.741 Mg
0.509 0.250 0.259 Mg
0.625 0.631 0.257 Mg
0.750 0.250 0.500 Mg
0.875 0.131 0.006 Mg
0.991 0.250 0.741 Mg
0.125 0.643 0.768 In
0.250 0.250 0.000 In
0.375 0.143 0.518 In
0.625 0.857 0.482 In
0.750 0.750 0.000 In
0.875 0.357 0.232 In
```


No. 4
For AgIrAuC, a GGA-PBE-relaxed structure gives the theoretical powder X-ray diffraction pattern in this record (λ = 1.5418 Å (Cu Kα)).

Main lines, by angle (10° ≤ 2θ ≤ 80°):
7.162 Å, I 26.1
2.636 Å, I 100.0
2.529 Å, I 47.5
2.387 Å, I 36.7
2.276 Å, I 27.6
2.165 Å, I 57.9
1.607 Å, I 22.0
1.533 Å, I 14.9

Crystal structure
```
AgIrAuC
1.0
5.570 0.000 0.000
0.000 3.233 0.000
-0.520 0.000 7.162
Ag Ir Au C
2 2 2 2
Direct
0.000 0.000 0.000 Ag
0.500 0.500 0.000 Ag
0.286 0.000 0.383 Ir
0.786 0.500 0.383 Ir
0.142 0.500 0.694 Au
0.642 0.000 0.694 Au
0.445 0.500 0.309 C
0.945 0.000 0.309 C
```


> Which formula does entry 2 have?

SrYInHg


> What is the formula in the second record?

SrYInHg